[1]
Li2YSc3Se6: computed X-ray diffraction stick pattern (Cu Kα (λ = 1.5418 Å)), based on a structure optimized by DFT (GGA-PBE).

Top 12 peaks for 10 to 80 degrees two-theta, in order of rising 2θ:
d (Å)  Rel. int.
5.587  4.3
3.243  7.7
3.183  16.5
2.770  100.0
1.973  36.0
1.945  34.4
1.668  5.1
1.622  6.5
1.592  17.6
1.385  10.9
1.246  15.1
1.232  14.6

Cell and atoms:
```
data_Li2YSc3Se6
_chemical_formula_sum 'Li4 Y2 Sc6 Se12'
_space_group_name_H-M_alt 'C 1 2/m 1'
_space_group_IT_number 12
_cell_length_a 6.737
_cell_length_b 11.669
_cell_length_c 6.869
_cell_angle_alpha 90.00
_cell_angle_beta 109.14
_cell_angle_gamma 90.00
loop_
_space_group_symop_operation_xyz
'x,y,z'
'-x,-y,-z'
'-x,y,-z'
'x,-y,z'
'x+1/2,y+1/2,z'
'-x+1/2,-y+1/2,-z'
'-x+1/2,y+1/2,-z'
'x+1/2,-y+1/2,z'
loop_
_atom_site_label
_atom_site_type_symbol
_atom_site_fract_x
_atom_site_fract_y
_atom_site_fract_z
Li1 Li 0.000 0.168 0.000
Y1 Y 0.000 0.500 0.000
Sc1 Sc 0.000 0.000 0.500
Sc2 Sc 0.000 0.335 0.500
Se1 Se 0.244 0.000 0.256
Se2 Se 0.244 0.170 0.744
```



[2]
Sr2In3Cu: computed X-ray diffraction stick pattern (Cu Kα (λ = 1.5418 Å)), based on a structure optimized by DFT (GGA-PBE).

Top 12 peaks for 10 to 80 degrees two-theta, in order of rising 2θ:
d (Å)  Rel. int.
3.016  21.0
2.986  61.6
2.954  18.7
2.933  100.0
2.901  69.1
2.558  22.0
2.529  35.3
2.476  97.2
2.464  66.7
1.765  23.1
1.570  29.3
1.425  25.5

Cell and atoms:
```
data_Sr2In3Cu
_chemical_formula_sum 'Sr4 In6 Cu2'
_space_group_name_H-M_alt 'C 1 m 1'
_space_group_IT_number 8
_cell_length_a 11.619
_cell_length_b 4.927
_cell_length_c 7.990
_cell_angle_alpha 90.00
_cell_angle_beta 132.31
_cell_angle_gamma 90.00
loop_
_space_group_symop_operation_xyz
'x,y,z'
'x,-y,z'
'x+1/2,y+1/2,z'
'x+1/2,-y+1/2,z'
loop_
_atom_site_label
_atom_site_type_symbol
_atom_site_fract_x
_atom_site_fract_y
_atom_site_fract_z
Sr1 Sr 0.000 0.000 0.000
Sr2 Sr 0.099 0.000 0.593
In1 In 0.187 0.500 0.975
In2 In 0.230 0.500 0.413
In3 In 0.383 0.000 0.203
Cu1 Cu 0.378 0.000 0.564
```



[3]
K2TcCl5O: computed X-ray diffraction stick pattern (Cu Kα (λ = 1.5418 Å)), based on a structure optimized by DFT (GGA-PBE).

Top 12 peaks for 10 to 80 degrees two-theta, in order of rising 2θ:
d (Å)  Rel. int.
5.781  100.0
5.610  99.1
4.885  31.0
3.050  32.0
3.029  29.6
2.826  29.3
2.805  40.5
2.781  55.5
2.512  67.4
2.443  27.5
2.100  27.5
1.864  35.0

Cell and atoms:
```
data_K2TcCl5O
_chemical_formula_sum 'K8 Tc4 Cl20 O4'
_space_group_name_H-M_alt 'P n m a'
_space_group_IT_number 62
_cell_length_a 13.522
_cell_length_b 10.050
_cell_length_c 7.067
_cell_angle_alpha 90.00
_cell_angle_beta 90.00
_cell_angle_gamma 90.00
loop_
_space_group_symop_operation_xyz
'x,y,z'
'-x,-y,-z'
'-x+1/2,-y,z+1/2'
'x+1/2,y,-z+1/2'
'x+1/2,-y+1/2,-z+1/2'
'-x+1/2,y+1/2,z+1/2'
'-x,y+1/2,-z'
'x,-y+1/2,z'
loop_
_atom_site_label
_atom_site_type_symbol
_atom_site_fract_x
_atom_site_fract_y
_atom_site_fract_z
K1 K 0.147 0.000 0.159
Tc1 Tc 0.092 0.250 0.669
Cl1 Cl 0.002 0.250 0.962
Cl2 Cl 0.107 0.013 0.693
Cl3 Cl 0.216 0.250 0.426
Cl4 Cl 0.245 0.250 0.888
O1 O 0.004 0.750 0.478
```



[4]
AcScPO2: computed X-ray diffraction stick pattern (Cu Kα (λ = 1.5418 Å)), based on a structure optimized by DFT (GGA-PBE).

Top 12 peaks for 10 to 80 degrees two-theta, in order of rising 2θ:
d (Å)  Rel. int.
6.168  57.0
3.649  24.0
3.348  100.0
3.141  49.5
3.084  26.8
2.656  67.4
2.621  18.6
2.044  34.9
1.978  20.2
1.851  22.9
1.816  18.1
1.571  18.4

Cell and atoms:
```
data_AcScPO2
_chemical_formula_sum 'Ac4 Sc4 P4 O8'
_space_group_name_H-M_alt 'C m c m'
_space_group_IT_number 63
_space_group_name_Hall '-C 2c 2'
_cell_length_a 3.956
_cell_length_b 12.336
_cell_length_c 7.298
_cell_angle_alpha 90.00
_cell_angle_beta 90.00
_cell_angle_gamma 90.00
loop_
_atom_site_label
_atom_site_type_symbol
_atom_site_fract_x
_atom_site_fract_y
_atom_site_fract_z
Ac1 Ac 0.000 0.228 0.250
Sc1 Sc 0.000 0.500 0.000
P1 P 0.000 0.038 0.750
O1 O 0.000 0.338 0.550
```



[5]
AcLa4In4: computed X-ray diffraction stick pattern (Cu Kα (λ = 1.5418 Å)), based on a structure optimized by DFT (GGA-PBE).

Top 12 peaks for 10 to 80 degrees two-theta, in order of rising 2θ:
d (Å)  Rel. int.
3.561  23.7
3.032  100.0
2.996  28.8
2.860  66.6
2.741  18.9
2.560  35.6
2.457  45.1
1.882  14.0
1.645  10.8
1.532  15.3
1.518  12.4
1.460  14.6

Cell and atoms:
```
data_AcLa4In4
_chemical_formula_sum 'Ac2 La8 In8'
_space_group_name_H-M_alt 'P 42/n'
_space_group_IT_number 86
_cell_length_a 9.600
_cell_length_b 9.600
_cell_length_c 6.377
_cell_angle_alpha 90.00
_cell_angle_beta 90.00
_cell_angle_gamma 90.00
loop_
_space_group_symop_operation_xyz
'x,y,z'
'-x,-y,-z'
'-y,x+1/2,z+1/2'
'y,-x+1/2,-z+1/2'
'-x+1/2,-y+1/2,z'
'x+1/2,y+1/2,-z'
'y+1/2,-x,z+1/2'
'-y+1/2,x,-z+1/2'
loop_
_atom_site_label
_atom_site_type_symbol
_atom_site_fract_x
_atom_site_fract_y
_atom_site_fract_z
Ac1 Ac 0.250 0.250 0.250
La1 La 0.088 0.824 0.628
In1 In 0.045 0.142 0.851
```